# 1
Simulated XRD peak list of PaAs4Pd6 for Cu Kα, 1.54184 Å, from a crystal structure in Alexandria, relaxed with GGA-PBE.
Peak positions follow from Bragg's law for the DFT cell and can differ from measured ones.

Structure:
```
data_PaAs4Pd6
_cell_length_a 7.404
_cell_length_b 7.404
_cell_length_c 4.026
_cell_angle_alpha 90.00
_cell_angle_beta 90.00
_cell_angle_gamma 120.00
_symmetry_space_group_name_H-M 'P 1'
_symmetry_Int_Tables_number 1
loop_
_symmetry_equiv_pos_as_xyz
'x,y,z'
loop_
_atom_site_label
_atom_site_fract_x
_atom_site_fract_y
_atom_site_fract_z
Pa1 0.000 0.000 0.000
As1 0.333 0.667 0.000
As2 0.371 0.185 0.500
As3 0.815 0.185 0.500
As4 0.815 0.629 0.500
Pd1 0.199 0.398 0.500
Pd2 0.199 0.801 0.500
Pd3 0.536 0.073 0.000
Pd4 0.536 0.464 0.000
Pd5 0.602 0.801 0.500
Pd6 0.927 0.464 0.000
```

Main lines, in order of falling intensity (2θ = 10–80°):
- 35.80°, rel. 100
- 32.87°, rel. 36
- 37.10°, rel. 32
- 49.23°, rel. 28
- 45.03°, rel. 24
- 43.59°, rel. 21

=====

# 2
Simulated XRD peak list of NaNpUS4 for Cu Kα, 1.54184 Å, from a crystal structure in Alexandria, relaxed with GGA-PBE.
Peak positions follow from Bragg's law for the DFT cell and can differ from measured ones.

Structure:
```
data_NaNpUS4
_cell_length_a 8.157
_cell_length_b 8.157
_cell_length_c 8.157
_cell_angle_alpha 120.10
_cell_angle_beta 119.94
_cell_angle_gamma 89.96
_symmetry_space_group_name_H-M 'P 1'
_symmetry_Int_Tables_number 1
loop_
_symmetry_equiv_pos_as_xyz
'x,y,z'
loop_
_atom_site_label
_atom_site_fract_x
_atom_site_fract_y
_atom_site_fract_z
Na1 0.373 0.123 0.250
Na2 0.627 0.877 0.750
Np1 0.000 0.500 0.500
Np2 0.500 0.500 0.000
U1 0.000 0.000 0.500
U2 0.000 0.500 0.000
S1 0.210 0.738 0.471
S2 0.233 0.262 0.971
S3 0.234 0.260 0.526
S4 0.234 0.708 0.974
S5 0.766 0.292 0.026
S6 0.766 0.740 0.474
S7 0.767 0.738 0.029
S8 0.790 0.262 0.529
```

Main lines, in order of falling intensity (2θ = 10–80°):
- 13.30°, rel. 100
- 25.61°, rel. 74
- 31.01°, rel. 62
- 44.42°, rel. 44
- 26.77°, rel. 40
- 40.64°, rel. 36

=====

# 3
Simulated XRD peak list of CaLa2Ru2 for Cu Kα, 1.54184 Å, from a crystal structure in Alexandria, relaxed with GGA-PBE.
Peak positions follow from Bragg's law for the DFT cell and can differ from measured ones.

Structure:
```
data_CaLa2Ru2
_cell_length_a 8.275
_cell_length_b 8.275
_cell_length_c 3.629
_cell_angle_alpha 90.00
_cell_angle_beta 90.00
_cell_angle_gamma 90.00
_symmetry_space_group_name_H-M 'P 1'
_symmetry_Int_Tables_number 1
loop_
_symmetry_equiv_pos_as_xyz
'x,y,z'
loop_
_atom_site_label
_atom_site_fract_x
_atom_site_fract_y
_atom_site_fract_z
Ca1 0.000 0.000 0.000
Ca2 0.500 0.500 0.000
La1 0.149 0.351 0.500
La2 0.351 0.851 0.500
La3 0.649 0.149 0.500
La4 0.851 0.649 0.500
Ru1 0.145 0.645 0.000
Ru2 0.355 0.145 0.000
Ru3 0.645 0.855 0.000
Ru4 0.855 0.355 0.000
```

Main lines, in order of falling intensity (2θ = 10–80°):
- 34.62°, rel. 100
- 34.27°, rel. 37
- 15.14°, rel. 24
- 66.03°, rel. 23
- 43.76°, rel. 13
- 62.26°, rel. 13

=====

# 4
Simulated XRD peak list of LiCdSn2Cl6 for Cu Kα, 1.54184 Å, from a crystal structure in Alexandria, relaxed with GGA-PBE.
Peak positions follow from Bragg's law for the DFT cell and can differ from measured ones.

Structure:
```
data_LiCdSn2Cl6
_cell_length_a 7.122
_cell_length_b 7.146
_cell_length_c 7.309
_cell_angle_alpha 93.52
_cell_angle_beta 117.71
_cell_angle_gamma 115.20
_symmetry_space_group_name_H-M 'P 1'
_symmetry_Int_Tables_number 1
loop_
_symmetry_equiv_pos_as_xyz
'x,y,z'
loop_
_atom_site_label
_atom_site_fract_x
_atom_site_fract_y
_atom_site_fract_z
Li1 0.000 0.000 0.000
Cd1 0.738 0.383 0.100
Sn1 0.331 0.188 0.616
Sn2 0.363 0.712 0.051
Cl1 0.066 0.221 0.750
Cl2 0.138 0.352 0.286
Cl3 0.483 0.119 0.250
Cl4 0.524 0.875 0.808
Cl5 0.939 0.667 0.795
Cl6 0.952 0.802 0.298
```

Main lines, in order of falling intensity (2θ = 10–80°):
- 29.22°, rel. 100
- 38.40°, rel. 71
- 14.83°, rel. 63
- 23.89°, rel. 61
- 27.99°, rel. 60
- 14.47°, rel. 58

=====

# 5
Simulated XRD peak list of Sr2Zn3Ga for Cu Kα, 1.54184 Å, from a crystal structure in Alexandria, relaxed with GGA-PBE.
Peak positions follow from Bragg's law for the DFT cell and can differ from measured ones.

Structure:
```
data_Sr2Zn3Ga
_cell_length_a 11.107
_cell_length_b 4.681
_cell_length_c 7.813
_cell_angle_alpha 90.00
_cell_angle_beta 134.17
_cell_angle_gamma 90.00
_symmetry_space_group_name_H-M 'P 1'
_symmetry_Int_Tables_number 1
loop_
_symmetry_equiv_pos_as_xyz
'x,y,z'
loop_
_atom_site_label
_atom_site_fract_x
_atom_site_fract_y
_atom_site_fract_z
Sr1 0.000 0.000 0.000
Sr2 0.089 0.000 0.596
Sr3 0.500 0.500 0.000
Sr4 0.589 0.500 0.596
Zn1 0.214 0.500 0.034
Zn2 0.376 0.000 0.576
Zn3 0.386 0.000 0.190
Zn4 0.714 0.000 0.034
Zn5 0.876 0.500 0.576
Zn6 0.886 0.500 0.190
Ga1 0.209 0.500 0.401
Ga2 0.709 0.000 0.401
```

Main lines, in order of falling intensity (2θ = 10–80°):
- 31.95°, rel. 100
- 31.78°, rel. 92
- 38.99°, rel. 84
- 38.46°, rel. 57
- 31.56°, rel. 35
- 32.24°, rel. 29

=====

# 6
Simulated XRD peak list of CsPu2Br5 for Cu Kα, 1.54184 Å, from a crystal structure in Alexandria, relaxed with GGA-PBE.
Peak positions follow from Bragg's law for the DFT cell and can differ from measured ones.

Structure:
```
data_CsPu2Br5
_cell_length_a 4.543
_cell_length_b 7.631
_cell_length_c 15.929
_cell_angle_alpha 90.00
_cell_angle_beta 90.00
_cell_angle_gamma 90.00
_symmetry_space_group_name_H-M 'P 1'
_symmetry_Int_Tables_number 1
loop_
_symmetry_equiv_pos_as_xyz
'x,y,z'
loop_
_atom_site_label
_atom_site_fract_x
_atom_site_fract_y
_atom_site_fract_z
Cs1 0.000 0.000 0.000
Cs2 0.500 0.500 0.500
Pu1 0.000 0.500 0.188
Pu2 0.000 0.500 0.812
Pu3 0.500 0.000 0.312
Pu4 0.500 0.000 0.688
Br1 0.000 0.261 0.345
Br2 0.000 0.261 0.655
Br3 0.000 0.500 0.000
Br4 0.000 0.739 0.345
Br5 0.000 0.739 0.655
Br6 0.500 0.000 0.500
Br7 0.500 0.239 0.155
Br8 0.500 0.239 0.845
Br9 0.500 0.761 0.155
Br10 0.500 0.761 0.845
```

Main lines, in order of falling intensity (2θ = 10–80°):
- 20.37°, rel. 100
- 31.12°, rel. 94
- 25.41°, rel. 72
- 41.95°, rel. 65
- 35.05°, rel. 61
- 22.78°, rel. 60

=====

# 7
Simulated XRD peak list of Tb2US4 for Cu Kα, 1.54184 Å, from a crystal structure in Alexandria, relaxed with GGA-PBE.
Peak positions follow from Bragg's law for the DFT cell and can differ from measured ones.

Structure:
```
data_Tb2US4
_cell_length_a 14.435
_cell_length_b 3.969
_cell_length_c 6.900
_cell_angle_alpha 90.00
_cell_angle_beta 115.79
_cell_angle_gamma 90.00
_symmetry_space_group_name_H-M 'P 1'
_symmetry_Int_Tables_number 1
loop_
_symmetry_equiv_pos_as_xyz
'x,y,z'
loop_
_atom_site_label
_atom_site_fract_x
_atom_site_fract_y
_atom_site_fract_z
Tb1 0.227 0.000 0.222
Tb2 0.273 0.500 0.778
Tb3 0.727 0.500 0.222
Tb4 0.773 0.000 0.778
U1 0.000 0.500 0.500
U2 0.500 0.000 0.500
S1 0.126 0.500 0.940
S2 0.139 0.000 0.508
S3 0.361 0.500 0.492
S4 0.374 0.000 0.060
S5 0.626 0.000 0.940
S6 0.639 0.500 0.508
S7 0.861 0.000 0.492
S8 0.874 0.500 0.060
```

Main lines, in order of falling intensity (2θ = 10–80°):
- 25.89°, rel. 100
- 37.63°, rel. 37
- 38.57°, rel. 31
- 45.62°, rel. 31
- 30.55°, rel. 27
- 14.83°, rel. 23

=====

# 8
Simulated XRD peak list of Cd8In3Hg4 for Cu Kα, 1.54184 Å, from a crystal structure in Alexandria, relaxed with GGA-PBE.
Peak positions follow from Bragg's law for the DFT cell and can differ from measured ones.

Structure:
```
data_Cd8In3Hg4
_cell_length_a 9.826
_cell_length_b 9.826
_cell_length_c 9.016
_cell_angle_alpha 90.00
_cell_angle_beta 90.00
_cell_angle_gamma 120.00
_symmetry_space_group_name_H-M 'P 1'
_symmetry_Int_Tables_number 1
loop_
_symmetry_equiv_pos_as_xyz
'x,y,z'
loop_
_atom_site_label
_atom_site_fract_x
_atom_site_fract_y
_atom_site_fract_z
Cd1 0.000 0.000 0.253
Cd2 0.000 0.000 0.753
Cd3 0.122 0.244 0.000
Cd4 0.122 0.878 0.000
Cd5 0.179 0.359 0.310
Cd6 0.179 0.821 0.310
Cd7 0.244 0.122 0.500
Cd8 0.333 0.667 0.483
Cd9 0.359 0.179 0.810
Cd10 0.641 0.821 0.310
Cd11 0.667 0.333 0.983
Cd12 0.756 0.878 0.000
Cd13 0.821 0.179 0.810
Cd14 0.821 0.641 0.810
Cd15 0.878 0.122 0.500
Cd16 0.878 0.756 0.500
In1 0.066 0.533 0.902
In2 0.467 0.533 0.902
In3 0.467 0.934 0.902
In4 0.533 0.066 0.402
In5 0.533 0.467 0.402
In6 0.934 0.467 0.402
Hg1 0.190 0.379 0.665
Hg2 0.190 0.810 0.665
Hg3 0.333 0.667 0.133
Hg4 0.379 0.190 0.165
Hg5 0.621 0.810 0.665
Hg6 0.667 0.333 0.633
Hg7 0.810 0.190 0.165
Hg8 0.810 0.621 0.165
```

Main lines, in order of falling intensity (2θ = 10–80°):
- 36.60°, rel. 100
- 34.25°, rel. 28
- 33.11°, rel. 24
- 28.85°, rel. 18
- 65.89°, rel. 16
- 23.11°, rel. 11

=====

# 9
Simulated XRD peak list of Ho4As6Rh7 for Cu Kα, 1.54184 Å, from a crystal structure in Alexandria, relaxed with GGA-PBE.
Peak positions follow from Bragg's law for the DFT cell and can differ from measured ones.

Structure:
```
data_Ho4As6Rh7
_cell_length_a 7.264
_cell_length_b 7.264
_cell_length_c 7.264
_cell_angle_alpha 109.47
_cell_angle_beta 109.47
_cell_angle_gamma 109.47
_symmetry_space_group_name_H-M 'P 1'
_symmetry_Int_Tables_number 1
loop_
_symmetry_equiv_pos_as_xyz
'x,y,z'
loop_
_atom_site_label
_atom_site_fract_x
_atom_site_fract_y
_atom_site_fract_z
Ho1 0.000 0.000 0.500
Ho2 0.000 0.500 0.000
Ho3 0.500 0.000 0.000
Ho4 0.500 0.500 0.500
As1 0.000 0.318 0.318
As2 0.000 0.682 0.682
As3 0.318 0.000 0.318
As4 0.318 0.318 0.000
As5 0.682 0.000 0.682
As6 0.682 0.682 0.000
Rh1 0.000 0.000 0.000
Rh2 0.250 0.500 0.750
Rh3 0.250 0.750 0.500
Rh4 0.500 0.250 0.750
Rh5 0.500 0.750 0.250
Rh6 0.750 0.250 0.500
Rh7 0.750 0.500 0.250
```

Main lines, in order of falling intensity (2θ = 10–80°):
- 37.13°, rel. 100
- 43.14°, rel. 63
- 62.66°, rel. 33
- 30.14°, rel. 29
- 75.13°, rel. 27
- 40.23°, rel. 20

=====

# 10
Simulated XRD peak list of Ce7Fe2Pb2 for Cu Kα, 1.54184 Å, from a crystal structure in Alexandria, relaxed with GGA-PBE.
Peak positions follow from Bragg's law for the DFT cell and can differ from measured ones.

Structure:
```
data_Ce7Fe2Pb2
_cell_length_a 6.884
_cell_length_b 6.884
_cell_length_c 6.795
_cell_angle_alpha 90.06
_cell_angle_beta 90.06
_cell_angle_gamma 69.73
_symmetry_space_group_name_H-M 'P 1'
_symmetry_Int_Tables_number 1
loop_
_symmetry_equiv_pos_as_xyz
'x,y,z'
loop_
_atom_site_label
_atom_site_fract_x
_atom_site_fract_y
_atom_site_fract_z
Ce1 0.000 0.000 0.000
Ce2 0.000 0.500 0.247
Ce3 0.000 0.500 0.753
Ce4 0.500 0.000 0.247
Ce5 0.500 0.000 0.753
Ce6 0.500 0.500 0.197
Ce7 0.500 0.500 0.803
Fe1 0.269 0.269 0.000
Fe2 0.731 0.731 0.000
Pb1 0.187 0.813 0.500
Pb2 0.813 0.187 0.500
```

Main lines, in order of falling intensity (2θ = 10–80°):
- 38.46°, rel. 100
- 31.68°, rel. 86
- 30.69°, rel. 79
- 26.17°, rel. 51
- 29.71°, rel. 46
- 27.63°, rel. 36

=====

# 11
Simulated XRD peak list of BaBiPd for Cu Kα, 1.54184 Å, from a crystal structure in Alexandria, relaxed with GGA-PBE.
Peak positions follow from Bragg's law for the DFT cell and can differ from measured ones.

Structure:
```
data_BaBiPd
_cell_length_a 7.052
_cell_length_b 7.255
_cell_length_c 8.509
_cell_angle_alpha 90.00
_cell_angle_beta 118.48
_cell_angle_gamma 90.00
_symmetry_space_group_name_H-M 'P 1'
_symmetry_Int_Tables_number 1
loop_
_symmetry_equiv_pos_as_xyz
'x,y,z'
loop_
_atom_site_label
_atom_site_fract_x
_atom_site_fract_y
_atom_site_fract_z
Ba1 0.218 0.153 0.396
Ba2 0.218 0.347 0.896
Ba3 0.782 0.653 0.104
Ba4 0.782 0.847 0.604
Bi1 0.242 0.668 0.551
Bi2 0.242 0.832 0.051
Bi3 0.758 0.168 0.949
Bi4 0.758 0.332 0.449
Pd1 0.421 0.581 0.324
Pd2 0.421 0.919 0.824
Pd3 0.579 0.081 0.176
Pd4 0.579 0.419 0.676
```

Main lines, in order of falling intensity (2θ = 10–80°):
- 33.59°, rel. 100
- 29.95°, rel. 75
- 28.13°, rel. 74
- 34.05°, rel. 51
- 28.81°, rel. 45
- 27.27°, rel. 43

=====

# 12
Simulated XRD peak list of Ce2TcC2 for Cu Kα, 1.54184 Å, from a crystal structure in Alexandria, relaxed with GGA-PBE.
Peak positions follow from Bragg's law for the DFT cell and can differ from measured ones.

Structure:
```
data_Ce2TcC2
_cell_length_a 6.540
_cell_length_b 5.235
_cell_length_c 9.973
_cell_angle_alpha 90.00
_cell_angle_beta 90.00
_cell_angle_gamma 90.00
_symmetry_space_group_name_H-M 'P 1'
_symmetry_Int_Tables_number 1
loop_
_symmetry_equiv_pos_as_xyz
'x,y,z'
loop_
_atom_site_label
_atom_site_fract_x
_atom_site_fract_y
_atom_site_fract_z
Ce1 0.025 0.250 0.224
Ce2 0.192 0.250 0.547
Ce3 0.308 0.750 0.047
Ce4 0.475 0.750 0.724
Ce5 0.525 0.250 0.276
Ce6 0.692 0.250 0.953
Ce7 0.808 0.750 0.453
Ce8 0.975 0.750 0.776
Tc1 0.223 0.250 0.864
Tc2 0.277 0.750 0.364
Tc3 0.723 0.250 0.636
Tc4 0.777 0.750 0.136
C1 0.037 0.750 0.246
C2 0.170 0.750 0.553
C3 0.330 0.250 0.053
C4 0.463 0.250 0.746
C5 0.537 0.750 0.254
C6 0.670 0.750 0.947
C7 0.830 0.250 0.447
C8 0.963 0.250 0.754
```

Main lines, in order of falling intensity (2θ = 10–80°):
- 33.54°, rel. 100
- 31.89°, rel. 82
- 34.26°, rel. 78
- 34.79°, rel. 54
- 32.75°, rel. 49
- 48.12°, rel. 33